Starting from a structure optimized by DFT (GGA+U), the PXRD pattern of KNd2CrO5 was calculated for CuKα.
Intensities are scaled so that the largest is 100.

a = 6.812 Å, b = 6.812 Å, c = 5.838 Å
α = 90.00°, β = 90.00°, γ = 90.00°
Fractional positions:
K (0.000, 0.000, 0.000)
K (0.500, 0.500, 0.000)
Nd (0.179, 0.321, 0.500)
Nd (0.321, 0.821, 0.500)
Nd (0.679, 0.179, 0.500)
Nd (0.821, 0.679, 0.500)
Cr (0.000, 0.500, 0.000)
Cr (0.500, 0.000, 0.000)
O (0.000, 0.000, 0.500)
O (0.133, 0.633, 0.242)
O (0.133, 0.633, 0.758)
O (0.367, 0.133, 0.242)
O (0.367, 0.133, 0.758)
O (0.500, 0.500, 0.500)
O (0.633, 0.867, 0.242)
O (0.633, 0.867, 0.758)
O (0.867, 0.367, 0.242)
O (0.867, 0.367, 0.758)

Peak list (8 most intense, 2θ = 5–70°, sorted by position)
2θ = 15.2°, I = 82, (0 0 1)
2θ = 29.3°, I = 37, (2 1 0)
2θ = 30.4°, I = 100, (2 0 1)
2θ = 30.6°, I = 40, (0 0 2)
2θ = 33.2°, I = 99, (2 1 1)
2θ = 42.9°, I = 71, (2 1 2)
2θ = 58.0°, I = 31, (4 1 1)
2θ = 64.8°, I = 23, (4 1 2)